Starting from a PBE-relaxed structure, the powder diffraction line list of NpU6 was computed for copper Kα.
Peak positions follow from Bragg's law for the DFT cell and can differ from measured ones.

Unit cell a=7.1193 b=7.1193 c=7.1193 alpha=90.00 beta=90.00 gamma=90.00
Space group Im-3m (No. 229)
One atom of each set of equivalent atoms:
Np  0.0000  0.0000  0.0000 (multiplicity 2)
U  0.0000  0.2500  0.5000 (multiplicity 12)

Top 10 peaks for 5 to 70 degrees two-theta, sorted by position:
- hkl 1 1 0, d = 5.034 Å, rel. 20
- hkl 2 0 0, d = 3.560 Å, rel. 42
- hkl 2 1 1, d = 2.906 Å, rel. 100
- hkl 3 1 0, d = 2.251 Å, rel. 5
- hkl 2 2 2, d = 2.055 Å, rel. 35
- hkl 3 2 1, d = 1.903 Å, rel. 61
- hkl 4 0 0, d = 1.780 Å, rel. 34
- hkl 4 2 0, d = 1.592 Å, rel. 17
- hkl 3 3 2, d = 1.518 Å, rel. 15
- hkl 5 1 0, d = 1.396 Å, rel. 4

Starting from a PBE-relaxed structure, the powder diffraction line list of NpV5 was computed for copper Kα.
Peak positions follow from Bragg's law for the DFT cell and can differ from measured ones.

Unit cell a=4.4039 b=12.7471 c=3.0391 alpha=90.00 beta=90.00 gamma=90.00
Space group Cmmm (No. 65)
One atom of each set of equivalent atoms:
Np  0.0000  0.0000  0.0000 (multiplicity 2)
V  0.0000  0.1631  0.5000 (multiplicity 4)
V  0.0000  0.3254  0.0000 (multiplicity 4)
V  0.0000  0.5000  0.5000 (multiplicity 2)

Top 10 peaks for 5 to 70 degrees two-theta, sorted by position:
- hkl 0 2 0, d = 6.374 Å, rel. 47
- hkl 1 1 0, d = 4.162 Å, rel. 42
- hkl 1 3 0, d = 3.058 Å, rel. 18
- hkl 0 2 1, d = 2.743 Å, rel. 12
- hkl 1 1 1, d = 2.455 Å, rel. 22
- hkl 2 0 0, d = 2.203 Å, rel. 32
- hkl 1 3 1, d = 2.156 Å, rel. 100
- hkl 0 6 0, d = 2.125 Å, rel. 24
- hkl 2 0 1, d = 1.785 Å, rel. 12
- hkl 2 6 0, d = 1.529 Å, rel. 16

Starting from a PBE-relaxed structure, the powder diffraction line list of NpZn5 was computed for copper Kα.
Peak positions follow from Bragg's law for the DFT cell and can differ from measured ones.

Unit cell a=4.4364 b=10.9588 c=4.4592 alpha=90.00 beta=90.00 gamma=90.00
Space group Cmmm (No. 65)
One atom of each set of equivalent atoms:
Np  0.0000  0.0000  0.0000 (multiplicity 2)
Zn  0.0000  0.1777  0.5000 (multiplicity 4)
Zn  0.0000  0.3150  0.0000 (multiplicity 4)
Zn  0.0000  0.5000  0.5000 (multiplicity 2)

Top 10 peaks for 5 to 70 degrees two-theta, sorted by position:
- hkl 0 0 1, d = 4.459 Å, rel. 9
- hkl 1 1 0, d = 4.112 Å, rel. 16
- hkl 0 2 1, d = 3.459 Å, rel. 9
- hkl 1 1 1, d = 3.023 Å, rel. 19
- hkl 1 3 1, d = 2.383 Å, rel. 100
- hkl 0 0 2, d = 2.230 Å, rel. 21
- hkl 2 0 0, d = 2.218 Å, rel. 21
- hkl 0 6 0, d = 1.826 Å, rel. 10
- hkl 2 0 2, d = 1.573 Å, rel. 14
- hkl 0 6 2, d = 1.413 Å, rel. 8

Question: Number 2 is which compound?
Answer: NpV5